Theoretical powder XRD pattern
Compound: LiCa12Ag6
Radiation: copper Kα
Structure: DFT lattice parameters and positions (GGA-PBE)
No peak broadening, texture or thermal motion is included.

Atomic structure:
```
LiCa12Ag6
1.0
-5.3403 5.3403 5.3403
5.3403 -5.3403 5.3403
5.3403 5.3403 -5.3403
Li Ca Ag
1 12 6
Direct
0.0000 0.0000 0.0000
0.1133 0.8174 0.2959
0.1826 0.2959 0.4785
0.1826 0.7041 0.8867
0.2959 0.1133 0.8174
0.2959 0.4785 0.1826
0.4785 0.1826 0.2959
0.5215 0.8174 0.7041
0.7041 0.5215 0.8174
0.7041 0.8867 0.1826
0.8174 0.2959 0.1133
0.8174 0.7041 0.5215
0.8867 0.1826 0.7041
0.1296 0.6296 0.5000
0.3704 0.5000 0.8704
0.5000 0.1296 0.6296
0.5000 0.8704 0.3704
0.6296 0.5000 0.1296
0.8704 0.3704 0.5000
```

Main lines, by intensity (2θ = 5–70°):
31.34°, I = 100; 11.72°, I = 49; 43.19°, I = 43; 16.60°, I = 30; 51.33°, I = 20; 35.66°, I = 19; 26.39°, I = 15; 69.27°, I = 13; 61.38°, I = 10; 55.78°, I = 10